Simulated powder diffractogram of KTl12Te7 for Cu Kα X-rays, from a structure optimized by DFT (PBE).
Peak positions follow from Bragg's law for the DFT cell and can differ from measured ones.

Lattice parameters (Å, degrees): 9.3526 9.3526 9.3526 101.42 101.42 101.42
Sites, in units of the cell vectors:
K 0.0000 0.0000 0.0000
Tl 0.0281 0.3500 0.8839
Tl 0.1161 0.9719 0.6500
Tl 0.1748 0.3628 0.5559
Tl 0.3500 0.8839 0.0281
Tl 0.3628 0.5559 0.1748
Tl 0.4441 0.8252 0.6372
Tl 0.5559 0.1748 0.3628
Tl 0.6372 0.4441 0.8252
Tl 0.6500 0.1161 0.9719
Tl 0.8252 0.6372 0.4441
Tl 0.8839 0.0281 0.3500
Tl 0.9719 0.6500 0.1161
Te 0.0703 0.6584 0.7652
Te 0.2348 0.9297 0.3416
Te 0.3416 0.2348 0.9297
Te 0.5000 0.5000 0.5000
Te 0.6584 0.7652 0.0703
Te 0.7652 0.0703 0.6584
Te 0.9297 0.3416 0.2348

The 6 most intense peaks (2θ from 5° to 70°), low angle first:
- 20.02°, I = 25
- 24.53°, I = 43
- 26.60°, I = 51
- 29.32°, I = 33
- 32.72°, I = 100
- 34.20°, I = 92